No. 1
# Nd12Er5Tm
Calculated powder XRD pattern, Cu Kα. Input: a DFT-relaxed cell (PBE, Alexandria).
No peak broadening, texture or thermal motion is included.

Crystal structure
```
data_Nd12Er5Tm
_space_group_name_H-M_alt 'C m m m'
_space_group_IT_number 65
_space_group_name_Hall '-C 2 2'
_cell_length_a 15.3022
_cell_length_b 15.4131
_cell_length_c 5.1371
_cell_angle_alpha 90.00
_cell_angle_beta 90.00
_cell_angle_gamma 90.00
loop_
_atom_site_label
_atom_site_fract_x
_atom_site_fract_y
_atom_site_fract_z
Nd1 0.1644 0.0000 0.0000
Nd2 0.1646 0.1667 0.5000
Nd3 0.1648 0.3334 0.0000
Nd4 0.1650 0.5000 0.5000
Er1 0.0000 0.1667 0.0000
Er2 0.0000 0.3335 0.5000
Er3 0.0000 0.5000 0.0000
Tm1 0.0000 0.0000 0.5000
```

Most intense lines, 5 to 70 degrees two-theta, in order of rising 2θ:
- 11.57°, I 1, hkl 2 0 0
- 30.20°, I 100, hkl 3 3 1
- 34.93°, I 34, hkl 0 6 0
- 35.19°, I 17, hkl 6 0 0
- 50.23°, I 12, hkl 0 6 2
- 50.42°, I 24, hkl 6 6 0
- 59.74°, I 29, hkl 3 9 1
- 60.08°, I 14, hkl 9 3 1
- 62.81°, I 12, hkl 6 6 2

---

No. 2
# Nd4Er3Tm3
Calculated powder XRD pattern, Cu Kα. Input: a DFT-relaxed cell (PBE, Alexandria).
No peak broadening, texture or thermal motion is included.

Crystal structure
```
data_Nd4Er3Tm3
_space_group_name_H-M_alt 'A m m 2'
_space_group_IT_number 38
_cell_length_a 3.7977
_cell_length_b 13.0768
_cell_length_c 13.0710
_cell_angle_alpha 90.00
_cell_angle_beta 90.00
_cell_angle_gamma 90.00
loop_
_space_group_symop_operation_xyz
'x,y,z'
'-x,-y,z'
'-x,y,z'
'x,-y,z'
'x,y+1/2,z+1/2'
'-x,-y+1/2,z+1/2'
'-x,y+1/2,z+1/2'
'x,-y+1/2,z+1/2'
loop_
_atom_site_label
_atom_site_fract_x
_atom_site_fract_y
_atom_site_fract_z
Nd1 0.0000 0.0000 0.0000
Nd2 0.0000 0.0000 0.2634
Nd3 0.0000 0.1320 0.6320
Er1 0.0000 0.2504 0.3818
Er2 0.5000 0.0000 0.4641
Tm1 0.5000 0.0000 0.7996
Tm2 0.5000 0.1678 0.1318
```

Most intense lines, 5 to 70 degrees two-theta, in order of rising 2θ:
- 27.29°, I 11, hkl 0 0 4
- 30.46°, I 26, hkl 1 2 2
- 30.58°, I 62, hkl 0 2 4
- 32.00°, I 100, hkl 1 3 1
- 38.92°, I 12, hkl 0 4 4
- 47.07°, I 14, hkl 1 5 3
- 47.91°, I 12, hkl 2 0 0
- 56.25°, I 19, hkl 0 0 8
- 57.91°, I 21, hkl 2 2 4
- 59.05°, I 19, hkl 1 7 3

---

No. 3
# Nd2Er3Tm6
Calculated powder XRD pattern, Cu Kα. Input: a DFT-relaxed cell (PBE, Alexandria).
No peak broadening, texture or thermal motion is included.

Crystal structure
```
data_Nd2Er3Tm6
_space_group_name_H-M_alt 'C 1 2/m 1'
_space_group_IT_number 12
_cell_length_a 6.0425
_cell_length_b 10.4782
_cell_length_c 11.6039
_cell_angle_alpha 90.00
_cell_angle_beta 100.07
_cell_angle_gamma 90.00
loop_
_space_group_symop_operation_xyz
'x,y,z'
'-x,-y,-z'
'-x,y,-z'
'x,-y,z'
'x+1/2,y+1/2,z'
'-x+1/2,-y+1/2,-z'
'-x+1/2,y+1/2,-z'
'x+1/2,-y+1/2,z'
loop_
_atom_site_label
_atom_site_fract_x
_atom_site_fract_y
_atom_site_fract_z
Nd1 0.0000 0.1666 0.0000
Er1 0.0000 0.0000 0.5000
Er2 0.0000 0.3348 0.5000
Tm1 0.2488 0.1667 0.7459
Tm2 0.2489 0.5000 0.7461
```

Most intense lines, 5 to 70 degrees two-theta, in order of rising 2θ:
- 7.74°, I 10, hkl 0 0 1
- 31.36°, I 100, hkl 1 3 1
- 36.37°, I 51, hkl 2 0 2
- 52.36°, I 24, hkl 0 6 0
- 52.44°, I 12, hkl 3 3 -1
- 62.25°, I 7, hkl 1 3 -7
- 62.35°, I 32, hkl 2 6 -2
- 62.44°, I 4, hkl 4 0 0
- 65.34°, I 3, hkl 0 0 8
- 65.48°, I 9, hkl 2 6 2

---

No. 4
# Nd4Er4Tm3
Calculated powder XRD pattern, Cu Kα. Input: a DFT-relaxed cell (PBE, Alexandria).
No peak broadening, texture or thermal motion is included.

Crystal structure
```
data_Nd4Er4Tm3
_space_group_name_H-M_alt 'C 1 2/m 1'
_space_group_IT_number 12
_cell_length_a 11.8279
_cell_length_b 3.5651
_cell_length_c 16.6931
_cell_angle_alpha 90.00
_cell_angle_beta 90.18
_cell_angle_gamma 90.00
loop_
_space_group_symop_operation_xyz
'x,y,z'
'-x,-y,-z'
'-x,y,-z'
'x,-y,z'
'x+1/2,y+1/2,z'
'-x+1/2,-y+1/2,-z'
'-x+1/2,y+1/2,-z'
'x+1/2,-y+1/2,z'
loop_
_atom_site_label
_atom_site_fract_x
_atom_site_fract_y
_atom_site_fract_z
Nd1 0.0457 0.0000 0.1798
Nd2 0.1347 0.0000 0.5467
Er1 0.0942 0.5000 0.3611
Er2 0.2264 0.0000 0.9101
Tm1 0.0000 0.5000 0.0000
Tm2 0.1818 0.5000 0.7299
```

Most intense lines, 5 to 70 degrees two-theta, in order of rising 2θ:
- 5.29°, I 1, hkl 0 0 1
- 30.71°, I 100, hkl 4 0 -1
- 30.80°, I 33, hkl 2 0 5
- 35.63°, I 67, hkl 3 1 2
- 51.22°, I 24, hkl 0 2 0
- 51.33°, I 24, hkl 6 0 4
- 60.93°, I 33, hkl 7 1 1
- 61.04°, I 24, hkl 5 1 7
- 63.95°, I 12, hkl 2 2 -6
- 64.15°, I 4, hkl 4 0 10

---

No. 5
# Nd3Er2Tm
Calculated powder XRD pattern, Cu Kα. Input: a DFT-relaxed cell (PBE, Alexandria).
No peak broadening, texture or thermal motion is included.

Crystal structure
```
data_Nd3Er2Tm
_space_group_name_H-M_alt 'C 1 2/m 1'
_space_group_IT_number 12
_cell_length_a 13.1756
_cell_length_b 3.5437
_cell_length_c 17.6671
_cell_angle_alpha 90.00
_cell_angle_beta 102.51
_cell_angle_gamma 90.00
loop_
_space_group_symop_operation_xyz
'x,y,z'
'-x,-y,-z'
'-x,y,-z'
'x,-y,z'
'x+1/2,y+1/2,z'
'-x+1/2,-y+1/2,-z'
'-x+1/2,y+1/2,-z'
'x+1/2,-y+1/2,z'
loop_
_atom_site_label
_atom_site_fract_x
_atom_site_fract_y
_atom_site_fract_z
Nd1 0.0685 0.0000 0.1692
Nd2 0.1277 0.5000 0.9899
Nd3 0.2366 0.5000 0.3382
Er1 0.1318 0.5000 0.5000
Er2 0.1961 0.0000 0.8337
Tm1 0.0399 0.5000 0.6817
```

Most intense lines, 5 to 70 degrees two-theta, in order of rising 2θ:
- 26.89°, I 41, hkl 1 1 1
- 29.64°, I 35, hkl 1 1 -3
- 30.88°, I 92, hkl 4 0 -4
- 31.11°, I 100, hkl 0 0 6
- 31.21°, I 27, hkl 1 1 3
- 31.73°, I 85, hkl 4 0 2
- 32.48°, I 45, hkl 3 1 -1
- 33.93°, I 44, hkl 3 1 1
- 35.89°, I 62, hkl 1 1 -5
- 61.47°, I 29, hkl 0 2 6

---

No. 6
# NdEr7Tm5
Calculated powder XRD pattern, Cu Kα. Input: a DFT-relaxed cell (PBE, Alexandria).
No peak broadening, texture or thermal motion is included.

Crystal structure
```
data_NdEr7Tm5
_space_group_name_H-M_alt 'I m m 2'
_space_group_IT_number 44
_cell_length_a 6.6352
_cell_length_b 11.0074
_cell_length_c 11.4267
_cell_angle_alpha 90.00
_cell_angle_beta 90.00
_cell_angle_gamma 90.00
loop_
_space_group_symop_operation_xyz
'x,y,z'
'-x,-y,z'
'-x,y,z'
'x,-y,z'
'x+1/2,y+1/2,z+1/2'
'-x+1/2,-y+1/2,z+1/2'
'-x+1/2,y+1/2,z+1/2'
'x+1/2,-y+1/2,z+1/2'
loop_
_atom_site_label
_atom_site_fract_x
_atom_site_fract_y
_atom_site_fract_z
Nd1 0.0000 0.0000 0.0000
Er1 0.0000 0.0000 0.3037
Er2 0.0000 0.0000 0.6113
Er3 0.0000 0.3279 0.0525
Er4 0.0000 0.3293 0.5520
Er5 0.0000 0.5000 0.2986
Tm1 0.0000 0.5000 0.8042
Tm2 0.2345 0.2296 0.8013
```

Most intense lines, 5 to 70 degrees two-theta, in order of rising 2θ:
- 27.78°, I 35, hkl 1 3 0
- 31.17°, I 49, hkl 2 0 2
- 31.31°, I 76, hkl 0 0 4
- 31.49°, I 50, hkl 2 2 0
- 31.97°, I 96, hkl 1 3 2
- 35.28°, I 100, hkl 2 2 2
- 36.23°, I 36, hkl 0 4 2
- 57.40°, I 33, hkl 2 6 0
- 58.33°, I 41, hkl 2 2 6
- 66.85°, I 28, hkl 2 6 4

---

No. 7
# Nd8Er6Tm
Calculated powder XRD pattern, Cu Kα. Input: a DFT-relaxed cell (PBE, Alexandria).
No peak broadening, texture or thermal motion is included.

Crystal structure
```
data_Nd8Er6Tm
_space_group_name_H-M_alt 'R -3'
_space_group_IT_number 148
_space_group_name_Hall '-R 3'
_cell_length_a 9.8306
_cell_length_b 9.8306
_cell_length_c 17.8789
_cell_angle_alpha 90.00
_cell_angle_beta 90.00
_cell_angle_gamma 120.00
loop_
_atom_site_label
_atom_site_fract_x
_atom_site_fract_y
_atom_site_fract_z
Nd1 0.0000 0.0000 0.0876
Nd2 0.0545 0.8167 0.6716
Er1 0.0375 0.7481 0.1771
Tm1 0.0000 0.0000 0.5000
```

Most intense lines, 5 to 70 degrees two-theta, in order of rising 2θ:
- 29.50°, I 100, hkl 1 2 2
- 29.99°, I 25, hkl 0 0 6
- 31.53°, I 14, hkl 3 0 0
- 34.34°, I 50, hkl 3 -1 4
- 35.02°, I 27, hkl 3 0 3
- 35.22°, I 17, hkl 2 -1 6
- 49.03°, I 18, hkl 4 1 0
- 49.67°, I 16, hkl 1 2 8
- 58.55°, I 11, hkl 4 1 6
- 59.11°, I 12, hkl 3 -1 10

---

No. 8
# NdEr3Tm5
Calculated powder XRD pattern, Cu Kα. Input: a DFT-relaxed cell (PBE, Alexandria).
No peak broadening, texture or thermal motion is included.

Crystal structure
```
data_NdEr3Tm5
_space_group_name_H-M_alt 'I m m a'
_space_group_IT_number 74
_space_group_name_Hall '-I 2b 2'
_cell_length_a 7.1709
_cell_length_b 17.1220
_cell_length_c 9.1533
_cell_angle_alpha 90.00
_cell_angle_beta 90.00
_cell_angle_gamma 90.00
loop_
_atom_site_label
_atom_site_fract_x
_atom_site_fract_y
_atom_site_fract_z
Nd1 0.0000 0.2500 0.1025
Er1 0.0000 0.0628 0.7499
Er2 0.2500 0.2500 0.7500
Tm1 0.0000 0.2500 0.4566
Tm2 0.2479 0.0866 0.4319
```

Most intense lines, 5 to 70 degrees two-theta, in order of rising 2θ:
- 29.74°, I 56, hkl 0 1 3
- 31.03°, I 100, hkl 2 3 1
- 31.35°, I 60, hkl 0 6 0
- 33.43°, I 65, hkl 2 2 2
- 38.19°, I 27, hkl 2 4 2
- 39.56°, I 33, hkl 0 5 3
- 50.94°, I 18, hkl 4 0 0
- 53.75°, I 19, hkl 2 8 2
- 58.91°, I 30, hkl 2 3 5
- 61.04°, I 18, hkl 4 6 0

---

No. 9
# NdYErTm
Calculated powder XRD pattern, Cu Kα. Input: a DFT-relaxed cell (PBE, Alexandria).
No peak broadening, texture or thermal motion is included.

Crystal structure
```
data_NdYErTm
_space_group_name_H-M_alt 'I -4 m 2'
_space_group_IT_number 119
_space_group_name_Hall 'I -4 -2'
_cell_length_a 5.0527
_cell_length_b 5.0527
_cell_length_c 10.0164
_cell_angle_alpha 90.00
_cell_angle_beta 90.00
_cell_angle_gamma 90.00
loop_
_atom_site_label
_atom_site_fract_x
_atom_site_fract_y
_atom_site_fract_z
Nd1 0.0000 0.0000 0.0000
Y1 0.0000 0.5000 0.2500
Er1 0.0000 0.0000 0.5000
Tm1 0.0000 0.5000 0.7500
```

Most intense lines, 5 to 70 degrees two-theta, in order of rising 2θ:
- 19.68°, I 6, hkl 1 0 1
- 30.74°, I 100, hkl 1 1 2
- 35.53°, I 34, hkl 2 0 0
- 35.86°, I 17, hkl 0 0 4
- 40.94°, I 2, hkl 2 1 1
- 51.13°, I 12, hkl 2 2 0
- 51.38°, I 24, hkl 2 0 4
- 60.85°, I 29, hkl 3 1 2
- 61.29°, I 14, hkl 1 1 6
- 64.03°, I 12, hkl 2 2 4

---

No. 10
# Nd2YEr6Tm
Calculated powder XRD pattern, Cu Kα. Input: a DFT-relaxed cell (PBE, Alexandria).
No peak broadening, texture or thermal motion is included.

Crystal structure
```
data_Nd2YEr6Tm
_space_group_name_H-M_alt 'C 1 2/c 1'
_space_group_IT_number 15
_cell_length_a 8.9630
_cell_length_b 15.0067
_cell_length_c 9.6155
_cell_angle_alpha 90.00
_cell_angle_beta 98.76
_cell_angle_gamma 90.00
loop_
_space_group_symop_operation_xyz
'x,y,z'
'-x,-y,-z'
'-x,y,-z+1/2'
'x,-y,z+1/2'
'x+1/2,y+1/2,z'
'-x+1/2,-y+1/2,-z'
'-x+1/2,y+1/2,-z+1/2'
'x+1/2,-y+1/2,z+1/2'
loop_
_atom_site_label
_atom_site_fract_x
_atom_site_fract_y
_atom_site_fract_z
Nd1 0.2479 0.0533 0.0432
Y1 0.0000 0.0182 0.7500
Er1 0.0641 0.1914 0.4426
Er2 0.1035 0.3945 0.6185
Er3 0.2018 0.2234 0.8123
Tm1 0.0000 0.4071 0.2500
```

Most intense lines, 5 to 70 degrees two-theta, in order of rising 2θ:
- 28.82°, I 47, hkl 1 3 2
- 30.63°, I 67, hkl 0 2 3
- 30.89°, I 100, hkl 3 1 -1
- 31.47°, I 73, hkl 1 5 0
- 31.74°, I 52, hkl 2 4 -1
- 31.96°, I 92, hkl 2 2 2
- 33.72°, I 97, hkl 1 3 -3
- 34.34°, I 22, hkl 2 2 -3
- 51.02°, I 23, hkl 1 1 5
- 53.50°, I 27, hkl 4 2 -4

---

No. 11
# NdY2Er2Tm
Calculated powder XRD pattern, Cu Kα. Input: a DFT-relaxed cell (PBE, Alexandria).
No peak broadening, texture or thermal motion is included.

Crystal structure
```
data_NdY2Er2Tm
_space_group_name_H-M_alt 'P n n m'
_space_group_IT_number 58
_cell_length_a 6.6787
_cell_length_b 17.4656
_cell_length_c 3.3770
_cell_angle_alpha 90.00
_cell_angle_beta 90.00
_cell_angle_gamma 90.00
loop_
_space_group_symop_operation_xyz
'x,y,z'
'-x,-y,-z'
'-x,-y,z'
'x,y,-z'
'x+1/2,-y+1/2,-z+1/2'
'-x+1/2,y+1/2,z+1/2'
'-x+1/2,y+1/2,-z+1/2'
'x+1/2,-y+1/2,z+1/2'
loop_
_atom_site_label
_atom_site_fract_x
_atom_site_fract_y
_atom_site_fract_z
Nd1 0.0000 0.0000 0.0000
Y1 0.2407 0.1537 0.5000
Er1 0.2429 0.3253 0.0000
Tm1 0.0000 0.5000 0.0000
```

Most intense lines, 5 to 70 degrees two-theta, in order of rising 2θ:
- 26.89°, I 28, hkl 0 1 1
- 28.62°, I 100, hkl 2 2 0
- 29.64°, I 28, hkl 1 0 1
- 30.60°, I 60, hkl 0 3 1
- 30.71°, I 80, hkl 0 6 0
- 31.40°, I 46, hkl 1 2 1
- 33.79°, I 61, hkl 2 4 0
- 36.22°, I 33, hkl 1 4 1
- 41.06°, I 67, hkl 2 3 1
- 64.29°, I 32, hkl 4 6 0

---

No. 12
# Nd2Y6ErTm2
Calculated powder XRD pattern, Cu Kα. Input: a DFT-relaxed cell (PBE, Alexandria).
No peak broadening, texture or thermal motion is included.

Crystal structure
```
data_Nd2Y6ErTm2
_space_group_name_H-M_alt 'C 1 2/m 1'
_space_group_IT_number 12
_cell_length_a 5.6441
_cell_length_b 12.0359
_cell_length_c 10.6827
_cell_angle_alpha 90.00
_cell_angle_beta 90.09
_cell_angle_gamma 90.00
loop_
_space_group_symop_operation_xyz
'x,y,z'
'-x,-y,-z'
'-x,y,-z'
'x,-y,z'
'x+1/2,y+1/2,z'
'-x+1/2,-y+1/2,-z'
'-x+1/2,y+1/2,-z'
'x+1/2,-y+1/2,z'
loop_
_atom_site_label
_atom_site_fract_x
_atom_site_fract_y
_atom_site_fract_z
Nd1 0.0000 0.1355 0.0000
Y1 0.0003 0.0000 0.2958
Y2 0.0003 0.3458 0.2148
Er1 0.0000 0.5000 0.5000
Tm1 0.0000 0.2029 0.5000
```

Most intense lines, 5 to 70 degrees two-theta, in order of rising 2θ:
- 8.28°, I 14, hkl 0 0 1
- 30.60°, I 24, hkl 1 1 3
- 30.87°, I 20, hkl 0 4 1
- 31.71°, I 36, hkl 2 0 0
- 32.09°, I 100, hkl 1 3 2
- 33.56°, I 21, hkl 0 0 4
- 44.84°, I 14, hkl 2 4 -1
- 46.84°, I 16, hkl 2 0 4
- 56.67°, I 16, hkl 3 3 -2
- 62.17°, I 13, hkl 1 7 3